No. 1
Starting from a crystal structure in the Materials Project, relaxed with GGA-PBE, the powder diffraction line list of ThH2S3O12 was simulated for Cu Kα (weighted mean of Kα1 and Kα2).

Cell: 5.7901 9.2342 9.8001 Å, 65.03 87.90 89.01°
Space group P-1 (No. 2)
Asymmetric unit:
1 Th 0.2471 0.3209 0.3271 (multiplicity 2)
2 H 0.1658 0.7866 0.0844 (multiplicity 2)
3 H 0.4212 0.1784 0.7744 (multiplicity 2)
4 S 0.2464 0.4030 0.6842 (multiplicity 2)
5 S 0.2536 0.6947 0.9223 (multiplicity 2)
6 S 0.2640 0.8781 0.4090 (multiplicity 2)
7 O 0.0156 0.4446 0.7238 (multiplicity 2)
8 O 0.0571 0.7066 0.8282 (multiplicity 2)
9 O 0.0663 0.7759 0.4982 (multiplicity 2)
10 O 0.2060 0.0454 0.3787 (multiplicity 2)
11 O 0.2217 0.8307 0.9785 (multiplicity 2)
12 O 0.2657 0.2218 0.7921 (multiplicity 2)
13 O 0.2666 0.5421 0.0527 (multiplicity 2)
14 O 0.2706 0.4220 0.5287 (multiplicity 2)
15 O 0.3094 0.8587 0.2694 (multiplicity 2)
16 O 0.4284 0.4886 0.7207 (multiplicity 2)
17 O 0.4687 0.7404 0.8307 (multiplicity 2)
18 O 0.4722 0.8278 0.5042 (multiplicity 2)

Most intense lines, 10 to 90 degrees two-theta, by angle:
(hkl), d [Å], 2theta, I_rel
0 1 0, 8.371, 10.6, 74
0 1 1, 8.006, 11.1, 76
1 0 -1, 4.766, 18.6, 100
0 2 1, 4.614, 19.2, 57
1 -2 0, 3.391, 26.3, 62
2 0 0, 2.892, 30.9, 50



No. 2
Starting from a crystal structure in the Materials Project, relaxed with GGA-PBE, the powder diffraction line list of TiH2SO6 was simulated for Cu Kα (weighted mean of Kα1 and Kα2).

Cell: 5.1512 8.7803 10.0112 Å, 90.00 90.00 90.00°
Space group P2_12_12_1 (No. 19)
Asymmetric unit:
1 Ti 0.2408 0.2116 0.3784 (multiplicity 4)
2 H 0.0708 0.0700 0.9544 (multiplicity 4)
3 H 0.1152 0.9295 0.4721 (multiplicity 4)
4 S 0.2372 0.5837 0.3234 (multiplicity 4)
5 O 0.0278 0.1360 0.2150 (multiplicity 4)
6 O 0.0341 0.7366 0.0188 (multiplicity 4)
7 O 0.0661 0.3399 0.7402 (multiplicity 4)
8 O 0.2222 0.3878 0.9664 (multiplicity 4)
9 O 0.2350 0.0205 0.9283 (multiplicity 4)
10 O 0.2472 0.5851 0.7939 (multiplicity 4)

Most intense lines, 10 to 90 degrees two-theta, by angle:
(hkl), d [Å], 2theta, I_rel
0 1 1, 6.601, 13.4, 35
0 2 1, 4.021, 22.1, 49
1 0 2, 3.590, 24.8, 100
1 1 2, 3.323, 26.8, 17
0 3 1, 2.809, 31.9, 29
1 5 0, 1.662, 55.3, 17